Computed X-ray powder pattern of VAg3HgO4 for copper Kα, from a cell relaxed with GGA+U.

Crystal structure
```
9
Lattice="4.763 0.000 0.000 2.333 5.525 0.000 2.327 -0.035 5.555" Properties=species:S:1:pos:R:3 pbc="T T T"
V 0.000 0.000 0.000
Ag 4.571 4.084 2.309
Ag 4.580 1.428 3.350
Ag 7.256 3.274 4.139
Hg 2.578 2.247 1.572
O 0.986 0.434 1.390
O 5.677 5.061 4.189
O 6.078 1.341 5.121
O 6.103 4.141 0.437
```

Principal peaks in the range 2θ from 10° to 80°, in order of rising 2θ:
- 5.537 Å, 16.01 deg, rel. 100.0
- 4.079 Å, 21.79 deg, rel. 42.4
- 2.839 Å, 31.51 deg, rel. 94.3
- 2.829 Å, 31.63 deg, rel. 92.6
- 2.815 Å, 31.79 deg, rel. 98.0
- 2.806 Å, 31.89 deg, rel. 74.8
- 2.488 Å, 36.10 deg, rel. 36.9
- 2.467 Å, 36.42 deg, rel. 41.3
- 2.381 Å, 37.78 deg, rel. 43.8
- 2.296 Å, 39.24 deg, rel. 45.0

=====

Computed X-ray powder pattern of Ho2MgAg2W4O16 for copper Kα, from a cell relaxed with GGA+U.

Crystal structure
```
25
Lattice="5.230 -5.616 0.000 5.230 5.616 0.000 -4.930 0.000 5.729" Properties=species:S:1:pos:R:3 pbc="T T T"
Ho 5.230 2.985 0.000
Ho 5.230 -2.985 0.000
Mg 0.443 0.000 2.266
Ag -1.998 0.000 3.127
Ag 5.855 0.000 2.660
W 2.754 0.000 0.186
W 2.839 1.822 2.958
W 2.839 -1.822 2.958
W 2.756 0.000 5.677
O -3.725 0.000 4.863
O 1.587 1.430 1.446
O -1.070 1.394 5.167
O 1.633 2.878 3.807
O 4.019 2.853 2.051
O 1.587 -1.430 1.446
O -1.070 -1.394 5.167
O 1.817 0.000 3.774
O 3.662 0.000 2.047
O 6.603 1.385 0.650
O 3.912 1.391 4.498
O 1.633 -2.878 3.807
O 4.019 -2.853 2.051
O 6.603 -1.385 0.650
O 3.912 -1.391 4.498
O 9.330 0.000 1.103
```

Principal peaks in the range 2θ from 10° to 80°, in order of rising 2θ:
- 5.223 Å, 16.98 deg, rel. 29.2
- 3.825 Å, 23.26 deg, rel. 41.7
- 3.352 Å, 26.59 deg, rel. 42.0
- 3.239 Å, 27.54 deg, rel. 100.0
- 3.126 Å, 28.55 deg, rel. 68.0
- 2.865 Å, 31.22 deg, rel. 51.6
- 2.612 Å, 34.33 deg, rel. 47.3
- 2.568 Å, 34.93 deg, rel. 23.3
- 2.251 Å, 40.05 deg, rel. 25.7
- 1.982 Å, 45.77 deg, rel. 21.5

=====

Computed X-ray powder pattern of Ho2MgAg2W4O16 for copper Kα, from a cell relaxed with GGA+U.

Crystal structure
```
25
Lattice="7.437 0.000 0.000 2.772 6.935 0.000 3.478 2.303 6.569" Properties=species:S:1:pos:R:3 pbc="T T T"
Ho 0.000 0.000 0.000
Ho 6.248 4.526 2.982
Mg 8.815 4.176 5.570
Ag 2.190 1.505 3.018
Ag 3.042 3.043 0.390
W 9.657 9.091 6.401
W 8.709 7.567 3.632
W 11.152 6.306 5.841
W 10.240 4.690 3.151
O 4.476 5.475 4.162
O 2.107 0.411 1.040
O 4.159 4.197 1.936
O 8.052 8.350 5.384
O 7.115 6.764 3.286
O 6.840 3.787 5.250
O 5.956 2.246 2.836
O 6.553 5.087 0.706
O 5.111 0.462 0.343
O 9.338 5.858 4.761
O 10.483 8.058 4.788
O 8.458 4.212 2.770
O 9.827 6.629 2.331
O 7.280 2.352 0.078
O 10.228 3.120 4.486
O 12.747 7.232 6.280
```

Principal peaks in the range 2θ from 10° to 80°, in order of rising 2θ:
- 5.209 Å, 17.02 deg, rel. 45.9
- 3.687 Å, 24.14 deg, rel. 62.9
- 3.284 Å, 27.15 deg, rel. 100.0
- 3.272 Å, 27.25 deg, rel. 76.7
- 3.247 Å, 27.47 deg, rel. 39.6
- 3.229 Å, 27.63 deg, rel. 51.9
- 2.835 Å, 31.56 deg, rel. 89.7
- 2.623 Å, 34.18 deg, rel. 30.4
- 2.606 Å, 34.42 deg, rel. 35.9
- 1.891 Å, 48.11 deg, rel. 39.3

=====

Computed X-ray powder pattern of Ho2MgAg2W4O16 for copper Kα, from a cell relaxed with GGA+U.

Crystal structure
```
25
Lattice="7.354 0.000 0.000 -3.127 7.048 0.000 -3.231 -2.805 6.467" Properties=species:S:1:pos:R:3 pbc="T T T"
Ho 0.000 0.000 0.000
Ho -3.075 1.756 3.414
Mg -1.454 4.449 4.383
Ag 1.431 -0.134 3.108
Ag -0.519 0.954 5.896
W 0.472 5.864 0.742
W 0.584 3.018 2.593
W 2.621 5.457 3.280
W 5.762 3.333 0.149
O -0.446 -0.703 2.096
O -3.423 4.187 3.804
O -1.612 -0.503 4.718
O -0.084 2.112 0.883
O -3.259 1.702 5.750
O -0.750 4.483 1.796
O 2.210 -0.023 0.516
O -0.983 2.554 3.616
O -1.208 3.788 6.230
O 1.817 4.408 1.630
O 2.112 2.001 2.936
O 2.332 -0.632 5.153
O 1.052 4.345 4.131
O 4.269 -0.306 2.509
O 1.470 2.002 6.168
O 4.615 2.570 1.339
```

Principal peaks in the range 2θ from 10° to 80°, in order of rising 2θ:
- 3.823 Å, 23.27 deg, rel. 34.3
- 3.800 Å, 23.41 deg, rel. 31.8
- 3.233 Å, 27.59 deg, rel. 100.0
- 3.133 Å, 28.49 deg, rel. 32.3
- 3.113 Å, 28.67 deg, rel. 39.7
- 3.089 Å, 28.91 deg, rel. 40.7
- 2.840 Å, 31.50 deg, rel. 67.6
- 2.623 Å, 34.19 deg, rel. 42.1
- 2.608 Å, 34.38 deg, rel. 38.7
- 2.499 Å, 35.94 deg, rel. 29.2

=====

Computed X-ray powder pattern of Ho2MgAg2W4O16 for copper Kα, from a cell relaxed with GGA+U.

Crystal structure
```
25
Lattice="7.300 0.000 0.000 -2.938 6.748 0.000 -3.199 -2.366 6.732" Properties=species:S:1:pos:R:3 pbc="T T T"
Ho 0.000 0.000 0.000
Ho -3.090 1.603 3.996
Mg 2.579 1.899 1.273
Ag 1.495 -1.299 4.093
Ag -0.059 0.922 5.617
W -1.448 3.114 0.468
W 0.728 5.572 0.872
W 0.531 2.911 3.042
W 2.778 5.251 3.397
O -0.477 -0.666 2.197
O -3.353 3.931 3.949
O -1.652 -0.271 4.824
O -3.227 1.878 6.220
O 0.153 1.997 1.217
O -0.665 4.314 1.988
O -0.958 2.320 3.929
O 2.227 0.119 0.489
O -1.051 3.742 6.615
O 1.938 4.035 1.850
O 2.089 1.742 3.229
O 4.105 -0.354 2.673
O 1.276 4.178 4.428
O 2.757 -0.435 5.781
O 1.457 2.082 6.619
O 4.579 2.263 1.570
```

Principal peaks in the range 2θ from 10° to 80°, in order of rising 2θ:
- 5.017 Å, 17.68 deg, rel. 32.0
- 3.868 Å, 23.00 deg, rel. 45.3
- 3.386 Å, 26.32 deg, rel. 65.1
- 3.366 Å, 26.48 deg, rel. 57.3
- 3.183 Å, 28.03 deg, rel. 77.7
- 3.122 Å, 28.59 deg, rel. 35.1
- 3.087 Å, 28.92 deg, rel. 47.1
- 3.001 Å, 29.77 deg, rel. 56.7
- 2.900 Å, 30.83 deg, rel. 100.0
- 2.710 Å, 33.06 deg, rel. 39.1

=====

Computed X-ray powder pattern of Ho2MgAg2W4O16 for copper Kα, from a cell relaxed with GGA+U.

Crystal structure
```
25
Lattice="5.278 -5.528 0.000 5.278 5.528 0.000 -4.614 0.000 5.711" Properties=species:S:1:pos:R:3 pbc="T T T"
Ho 5.278 3.153 0.000
Ho 5.278 -3.153 0.000
Mg 5.278 0.000 0.000
Ag -0.559 0.000 3.049
Ag 6.500 0.000 2.662
W 2.561 0.000 0.131
W 2.971 1.762 2.855
W 2.971 -1.762 2.855
W 3.380 0.000 5.580
O -3.587 0.000 4.821
O 1.713 1.450 1.368
O 1.831 2.850 3.755
O -0.703 1.329 5.175
O 4.111 2.850 1.956
O 1.713 -1.450 1.368
O -0.703 -1.329 5.175
O 2.127 0.000 3.825
O 3.814 0.000 1.886
O 6.644 1.329 0.536
O 4.229 1.450 4.343
O 1.831 -2.850 3.755
O 6.644 -1.329 0.536
O 4.111 -2.850 1.956
O 4.229 -1.450 4.343
O 9.528 0.000 0.890
```

Principal peaks in the range 2θ from 10° to 80°, in order of rising 2θ:
- 3.804 Å, 23.38 deg, rel. 13.2
- 3.295 Å, 27.06 deg, rel. 100.0
- 3.108 Å, 28.72 deg, rel. 12.7
- 3.050 Å, 29.28 deg, rel. 37.4
- 2.855 Å, 31.33 deg, rel. 31.5
- 2.619 Å, 34.24 deg, rel. 21.9
- 2.053 Å, 44.12 deg, rel. 12.1
- 1.988 Å, 45.64 deg, rel. 12.2
- 1.852 Å, 49.21 deg, rel. 11.8
- 1.762 Å, 51.90 deg, rel. 24.5

=====

Computed X-ray powder pattern of Ho2MgAg2W4O16 for copper Kα, from a cell relaxed with GGA+U.

Crystal structure
```
25
Lattice="7.263 0.000 0.000 -3.328 7.042 0.000 -0.612 -4.169 6.567" Properties=species:S:1:pos:R:3 pbc="T T T"
Ho 0.000 0.000 0.000
Ho 0.109 4.707 2.956
Mg 3.707 0.815 0.936
Ag -2.279 2.148 3.324
Ag 2.411 3.849 0.551
W -0.201 -1.333 3.764
W -0.290 1.518 5.609
W 1.845 1.202 3.241
W 4.915 -0.852 6.247
O -1.536 0.142 4.609
O -0.734 -2.093 5.522
O 0.255 -0.043 2.369
O -2.121 4.586 3.457
O -1.589 2.770 6.064
O -0.146 4.377 0.575
O 0.998 0.056 4.826
O 0.272 2.483 3.833
O 2.053 1.894 1.467
O 3.145 -0.199 2.602
O 1.751 6.554 0.087
O 3.778 -1.730 5.107
O 2.980 2.065 4.452
O 2.360 4.939 2.842
O 5.353 2.100 1.083
O 4.485 4.771 0.166
```

Principal peaks in the range 2θ from 10° to 80°, in order of rising 2θ:
- 3.898 Å, 22.81 deg, rel. 37.2
- 3.477 Å, 25.62 deg, rel. 34.9
- 3.284 Å, 27.16 deg, rel. 54.6
- 3.226 Å, 27.65 deg, rel. 61.7
- 3.092 Å, 28.88 deg, rel. 100.0
- 2.760 Å, 32.44 deg, rel. 65.1
- 2.631 Å, 34.07 deg, rel. 37.2
- 2.603 Å, 34.45 deg, rel. 37.9
- 2.552 Å, 35.16 deg, rel. 31.9
- 1.944 Å, 46.72 deg, rel. 27.5

=====

Computed X-ray powder pattern of La3Mn4AgO12 for copper Kα, from a cell relaxed with GGA+U.

Crystal structure
```
20
Lattice="5.530 0.000 0.000 0.000 5.565 0.000 -0.096 0.000 7.818" Properties=species:S:1:pos:R:3 pbc="T T T"
La 0.000 0.000 0.000
La -0.048 0.006 3.909
La 2.765 2.791 0.000
Mn -0.021 2.789 1.989
Mn 2.740 0.010 1.990
Mn 2.695 0.010 5.828
Mn 5.455 2.789 5.829
Ag 2.717 2.793 3.909
O -0.048 2.452 3.909
O 0.000 3.091 0.000
O 1.146 4.392 2.101
O 1.138 1.235 6.112
O 1.465 1.511 1.643
O 1.443 4.050 5.686
O 2.717 0.355 3.909
O 2.765 5.269 0.000
O 3.992 4.050 2.132
O 3.969 1.511 6.175
O 4.296 1.235 1.705
O 4.288 4.392 5.717
```

Principal peaks in the range 2θ from 10° to 80°, in order of rising 2θ:
- 3.918 Å, 22.70 deg, rel. 27.7
- 2.781 Å, 32.18 deg, rel. 97.5
- 2.759 Å, 32.45 deg, rel. 100.0
- 2.268 Å, 39.74 deg, rel. 25.6
- 1.961 Å, 46.29 deg, rel. 41.3
- 1.954 Å, 46.46 deg, rel. 20.3
- 1.605 Å, 57.41 deg, rel. 35.3
- 1.600 Å, 57.59 deg, rel. 26.3
- 1.590 Å, 58.00 deg, rel. 12.4
- 1.391 Å, 67.33 deg, rel. 16.5

=====

Which formula does entry 4 have?
Ho2MgAg2W4O16